1.
La2SmDyTh: calculated XRD peak list (λ = 1.5418 Å (Cu Kα)), based on a crystal structure in Alexandria, relaxed with PBE.
Peak positions follow from Bragg's law for the DFT cell and can differ from measured ones.

The 8 most intense peaks (15 to 90 degrees two-theta), in order of falling intensity:
d = 2.989 Å, rel. 100
d = 2.794 Å, rel. 78
d = 2.458 Å, rel. 55
d = 3.281 Å, rel. 52
d = 2.379 Å, rel. 52
d = 4.320 Å, rel. 51
d = 2.564 Å, rel. 47
d = 2.917 Å, rel. 43

Crystal structure
Cell: 9.125 6.372 6.568 Å, 90.00 108.78 90.00°
Sites, in units of the cell vectors:
La: 0.185 0.193 0.339
La: 0.185 0.807 0.839
La: 0.815 0.193 0.161
La: 0.815 0.807 0.661
Sm: 0.000 0.335 0.750
Sm: 0.000 0.665 0.250
Dy: 0.500 0.007 0.750
Dy: 0.500 0.993 0.250
Th: 0.500 0.500 0.000
Th: 0.500 0.500 0.500



2.
LaSmDy2Tl2: calculated XRD peak list (λ = 1.5418 Å (Cu Kα)), based on a crystal structure in Alexandria, relaxed with PBE.
Peak positions follow from Bragg's law for the DFT cell and can differ from measured ones.

The 8 most intense peaks (15 to 90 degrees two-theta), in order of falling intensity:
d = 2.855 Å, rel. 100
d = 2.753 Å, rel. 48
d = 2.591 Å, rel. 37
d = 2.634 Å, rel. 22
d = 1.542 Å, rel. 16
d = 2.420 Å, rel. 16
d = 2.848 Å, rel. 14
d = 1.769 Å, rel. 12

Crystal structure
Cell: 5.183 10.255 6.850 Å, 90.00 90.00 90.00°
Sites, in units of the cell vectors:
La: 0.000 0.044 0.000
La: 0.000 0.956 0.500
Sm: 0.500 0.193 0.735
Sm: 0.500 0.807 0.235
Dy: 0.000 0.318 0.384
Dy: 0.000 0.682 0.884
Dy: 0.500 0.457 0.103
Dy: 0.500 0.543 0.603
Tl: 0.000 0.373 0.849
Tl: 0.000 0.627 0.349
Tl: 0.500 0.145 0.268
Tl: 0.500 0.855 0.768



3.
La2SmDy2Y: calculated XRD peak list (λ = 1.5418 Å (Cu Kα)), based on a crystal structure in Alexandria, relaxed with PBE.
Peak positions follow from Bragg's law for the DFT cell and can differ from measured ones.

The 8 most intense peaks (15 to 90 degrees two-theta), in order of falling intensity:
d = 2.865 Å, rel. 100
d = 2.898 Å, rel. 84
d = 1.660 Å, rel. 32
d = 2.037 Å, rel. 30
d = 1.515 Å, rel. 29
d = 2.234 Å, rel. 21
d = 1.654 Å, rel. 19
d = 1.213 Å, rel. 14

Crystal structure
Cell: 7.141 5.734 9.917 Å, 90.00 90.00 90.00°
Sites, in units of the cell vectors:
La: 0.000 0.000 0.000
La: 0.250 0.500 0.176
La: 0.500 0.000 0.000
La: 0.750 0.500 0.824
Sm: 0.250 0.000 0.660
Sm: 0.750 0.000 0.340
Dy: 0.250 0.000 0.334
Dy: 0.250 0.500 0.834
Dy: 0.750 0.000 0.666
Dy: 0.750 0.500 0.166
Y: 0.000 0.500 0.500
Y: 0.500 0.500 0.500



4.
LaSm6Dy2Y: calculated XRD peak list (λ = 1.5418 Å (Cu Kα)), based on a crystal structure in Alexandria, relaxed with PBE.
Peak positions follow from Bragg's law for the DFT cell and can differ from measured ones.

The 8 most intense peaks (15 to 90 degrees two-theta), in order of falling intensity:
d = 2.877 Å, rel. 100
d = 2.962 Å, rel. 66
d = 2.701 Å, rel. 61
d = 2.969 Å, rel. 47
d = 2.903 Å, rel. 41
d = 3.168 Å, rel. 38
d = 2.815 Å, rel. 28
d = 2.392 Å, rel. 21

Crystal structure
Cell: 8.932 8.932 9.761 Å, 94.14 94.14 118.04°
Sites, in units of the cell vectors:
La: 0.094 0.906 0.750
La: 0.906 0.094 0.250
Sm: 0.005 0.793 0.378
Sm: 0.070 0.525 0.181
Sm: 0.207 0.995 0.122
Sm: 0.256 0.616 0.555
Sm: 0.384 0.744 0.945
Sm: 0.475 0.930 0.319
Sm: 0.525 0.070 0.681
Sm: 0.616 0.256 0.055
Sm: 0.744 0.384 0.445
Sm: 0.793 0.005 0.878
Sm: 0.930 0.475 0.819
Sm: 0.995 0.207 0.622
Dy: 0.205 0.307 0.956
Dy: 0.307 0.205 0.456
Dy: 0.693 0.795 0.544
Dy: 0.795 0.693 0.044
Y: 0.473 0.527 0.250
Y: 0.527 0.473 0.750



5.
La2Sm6DyY: calculated XRD peak list (λ = 1.5418 Å (Cu Kα)), based on a crystal structure in Alexandria, relaxed with PBE.
Peak positions follow from Bragg's law for the DFT cell and can differ from measured ones.

The 8 most intense peaks (15 to 90 degrees two-theta), in order of falling intensity:
d = 2.955 Å, rel. 100
d = 2.850 Å, rel. 95
d = 2.752 Å, rel. 93
d = 2.895 Å, rel. 78
d = 3.019 Å, rel. 68
d = 2.879 Å, rel. 56
d = 3.167 Å, rel. 50
d = 1.847 Å, rel. 25

Crystal structure
Cell: 8.900 8.900 10.004 Å, 94.99 94.99 118.36°
Sites, in units of the cell vectors:
La: 0.193 0.297 0.040
La: 0.297 0.193 0.540
La: 0.703 0.807 0.460
La: 0.807 0.703 0.960
Sm: 0.022 0.581 0.190
Sm: 0.125 0.743 0.556
Sm: 0.257 0.875 0.944
Sm: 0.292 0.498 0.379
Sm: 0.419 0.978 0.310
Sm: 0.498 0.292 0.879
Sm: 0.502 0.708 0.121
Sm: 0.581 0.022 0.690
Sm: 0.708 0.502 0.621
Sm: 0.743 0.125 0.056
Sm: 0.875 0.257 0.444
Sm: 0.978 0.419 0.810
Dy: 0.405 0.595 0.750
Dy: 0.595 0.405 0.250
Y: 0.014 0.986 0.250
Y: 0.986 0.014 0.750



6.
LaDy2Sn2: calculated XRD peak list (λ = 1.5418 Å (Cu Kα)), based on a crystal structure in Alexandria, relaxed with PBE.
Peak positions follow from Bragg's law for the DFT cell and can differ from measured ones.

The 8 most intense peaks (15 to 90 degrees two-theta), in order of falling intensity:
d = 3.015 Å, rel. 100
d = 3.079 Å, rel. 79
d = 2.829 Å, rel. 73
d = 2.490 Å, rel. 54
d = 2.904 Å, rel. 54
d = 2.088 Å, rel. 39
d = 1.680 Å, rel. 33
d = 1.600 Å, rel. 29

Crystal structure
Cell: 5.695 4.177 13.165 Å, 90.00 96.94 90.00°
Sites, in units of the cell vectors:
La: 0.198 0.250 0.247
La: 0.802 0.750 0.753
Dy: 0.245 0.750 0.471
Dy: 0.331 0.250 0.891
Dy: 0.669 0.750 0.109
Dy: 0.755 0.250 0.529
Sn: 0.164 0.750 0.045
Sn: 0.287 0.250 0.657
Sn: 0.713 0.750 0.343
Sn: 0.836 0.250 0.955